Structure and calculated powder XRD pattern of K4Cu3F12 (a PBE-relaxed structure; Cu Kα (weighted mean of Kα1 and Kα2)).
No peak broadening, texture or thermal motion is included.

Principal peaks in the range 5° ≤ 2θ ≤ 70°, sorted by position:
13.79 deg, intensity 47, (1 1 0); 24.00 deg, intensity 26, (2 1 1); 27.78 deg, intensity 100, (2 2 0); 31.14 deg, intensity 20, (3 0 1); 49.14 deg, intensity 52, (4 2 2); 64.94 deg, intensity 19, (6 0 2)

Crystal structure
```
data_K4Cu3F12
_symmetry_space_group_name_H-M 'I m -3'
_symmetry_Int_Tables_number 204
_symmetry_space_group_name_Hall '-I 2 2 3'
_cell_length_a 9.082
_cell_length_b 9.082
_cell_length_c 9.082
_cell_angle_alpha 90.00
_cell_angle_beta 90.00
_cell_angle_gamma 90.00
loop_
_atom_site_label
_atom_site_fract_x
_atom_site_fract_y
_atom_site_fract_z
K1 0.250 0.250 0.250
Cu1 0.000 0.000 0.500
F1 0.000 0.141 0.359
```


Structure and calculated powder XRD pattern of K4Cu3F10 (a PBE-relaxed structure; Cu Kα (weighted mean of Kα1 and Kα2)).
No peak broadening, texture or thermal motion is included.

Principal peaks in the range 5° ≤ 2θ ≤ 70°, sorted by position:
6.08 deg, intensity 31, (0 0 2); 21.86 deg, intensity 34, (1 0 1); 30.61 deg, intensity 100, (1 0 7); 30.79 deg, intensity 70, (1 1 0); 44.11 deg, intensity 71, (2 0 0); 54.64 deg, intensity 36, (2 1 7)

Crystal structure
```
data_K4Cu3F10
_symmetry_space_group_name_H-M 'I 4/m m m'
_symmetry_Int_Tables_number 139
_symmetry_space_group_name_Hall '-I 4 2'
_cell_length_a 4.106
_cell_length_b 4.106
_cell_length_c 29.090
_cell_angle_alpha 90.00
_cell_angle_beta 90.00
_cell_angle_gamma 90.00
loop_
_atom_site_label
_atom_site_fract_x
_atom_site_fract_y
_atom_site_fract_z
K1 0.000 0.000 0.068
K2 0.000 0.000 0.202
Cu1 0.000 0.000 0.362
Cu2 0.000 0.000 0.500
F1 0.000 0.000 0.293
F2 0.000 0.000 0.431
F3 0.000 0.500 0.000
F4 0.000 0.500 0.138
```


Structure and calculated powder XRD pattern of K3CuF7 (a PBE-relaxed structure; Cu Kα (weighted mean of Kα1 and Kα2)).
No peak broadening, texture or thermal motion is included.

Principal peaks in the range 5° ≤ 2θ ≤ 70°, sorted by position:
16.06 deg, intensity 68, (1 1 0); 27.56 deg, intensity 100, (2 0 1); 30.89 deg, intensity 35, (0 0 2); 32.44 deg, intensity 63, (2 2 0); 40.48 deg, intensity 80, (2 1 2); 45.40 deg, intensity 45, (2 2 2)

Crystal structure
```
data_K3CuF7
_symmetry_space_group_name_H-M 'P 4/m b m'
_symmetry_Int_Tables_number 127
_symmetry_space_group_name_Hall '-P 4 2ab'
_cell_length_a 7.807
_cell_length_b 7.807
_cell_length_c 5.789
_cell_angle_alpha 90.00
_cell_angle_beta 90.00
_cell_angle_gamma 90.00
loop_
_atom_site_label
_atom_site_fract_x
_atom_site_fract_y
_atom_site_fract_z
K1 0.000 0.000 0.000
K2 0.182 0.318 0.500
Cu1 0.000 0.500 0.000
F1 0.000 0.000 0.500
F2 0.118 0.618 0.236
F3 0.165 0.335 0.000
```


Structure and calculated powder XRD pattern of KCu3F8 (a PBE-relaxed structure; Cu Kα (weighted mean of Kα1 and Kα2)).
No peak broadening, texture or thermal motion is included.

Principal peaks in the range 5° ≤ 2θ ≤ 70°, sorted by position:
25.07 deg, intensity 100, (2 0 -1); 27.44 deg, intensity 53, (2 0 1); 31.37 deg, intensity 70, (0 2 1); 32.60 deg, intensity 43, (2 2 0); 47.40 deg, intensity 32, (2 2 -2); 50.19 deg, intensity 25, (2 2 2)

Crystal structure
```
data_KCu3F8
_symmetry_space_group_name_H-M 'C 1 2/m 1'
_symmetry_Int_Tables_number 12
_cell_length_a 9.138
_cell_length_b 6.889
_cell_length_c 5.105
_cell_angle_alpha 90.00
_cell_angle_beta 95.12
_cell_angle_gamma 90.00
loop_
_symmetry_equiv_pos_as_xyz
'x,y,z'
'-x,-y,-z'
'-x,y,-z'
'x,-y,z'
'x+1/2,y+1/2,z'
'-x+1/2,-y+1/2,-z'
'-x+1/2,y+1/2,-z'
'x+1/2,-y+1/2,z'
loop_
_atom_site_label
_atom_site_fract_x
_atom_site_fract_y
_atom_site_fract_z
K1 0.000 0.000 0.000
Cu1 0.000 0.500 0.000
Cu2 0.250 0.250 0.500
F1 0.094 0.302 0.247
F2 0.164 0.000 0.576
F3 0.165 0.500 0.806
```


Structure and calculated powder XRD pattern of K2CuF4 (a PBE-relaxed structure; Cu Kα (weighted mean of Kα1 and Kα2)).
No peak broadening, texture or thermal motion is included.

Principal peaks in the range 5° ≤ 2θ ≤ 70°, sorted by position:
13.73 deg, intensity 86, (0 0 4); 29.78 deg, intensity 97, (1 1 6); 30.20 deg, intensity 100, (2 0 0); 41.09 deg, intensity 32, (1 1 10); 43.23 deg, intensity 77, (2 2 0); 53.38 deg, intensity 34, (3 1 6)

Crystal structure
```
data_K2CuF4
_symmetry_space_group_name_H-M 'I 41/a c d'
_symmetry_Int_Tables_number 142
_cell_length_a 5.919
_cell_length_b 5.919
_cell_length_c 25.807
_cell_angle_alpha 90.00
_cell_angle_beta 90.00
_cell_angle_gamma 90.00
loop_
_symmetry_equiv_pos_as_xyz
'x,y,z'
'-x,-y,-z'
'-y+1/4,x+3/4,z+1/4'
'y+1/4,-x+3/4,-z+1/4'
'-x+1/2,-y,z+1/2'
'x+1/2,y,-z+1/2'
'y+1/4,-x+1/4,z+3/4'
'-y+1/4,x+1/4,-z+3/4'
'x,-y,-z+1/2'
'-x,y,z+1/2'
'-y+1/4,-x+1/4,-z+1/4'
'y+1/4,x+1/4,z+1/4'
'-x+1/2,y,-z'
'x+1/2,-y,z'
'y+1/4,x+3/4,-z+3/4'
'-y+1/4,-x+3/4,z+3/4'
'x+1/2,y+1/2,z+1/2'
'-x+1/2,-y+1/2,-z+1/2'
'-y+3/4,x+1/4,z+3/4'
'y+3/4,-x+1/4,-z+3/4'
'-x,-y+1/2,z'
'x,y+1/2,-z'
'y+3/4,-x+3/4,z+1/4'
'-y+3/4,x+3/4,-z+1/4'
'x+1/2,-y+1/2,-z'
'-x+1/2,y+1/2,z'
'-y+3/4,-x+3/4,-z+3/4'
'y+3/4,x+3/4,z+3/4'
'-x,y+1/2,-z+1/2'
'x,-y+1/2,z+1/2'
'y+3/4,x+1/4,-z+1/4'
'-y+3/4,-x+1/4,z+1/4'
loop_
_atom_site_label
_atom_site_fract_x
_atom_site_fract_y
_atom_site_fract_z
K1 0.000 0.250 0.304
Cu1 0.000 0.250 0.125
F1 0.000 0.250 0.048
F2 0.233 0.017 0.125
```


Structure and calculated powder XRD pattern of K2CuF4 (a PBE-relaxed structure; Cu Kα (weighted mean of Kα1 and Kα2)).
No peak broadening, texture or thermal motion is included.

Principal peaks in the range 5° ≤ 2θ ≤ 70°, sorted by position:
13.74 deg, intensity 85, (2 0 0); 29.78 deg, intensity 96, (3 1 1); 30.16 deg, intensity 100, (0 2 0); 41.11 deg, intensity 32, (5 1 1); 43.18 deg, intensity 77, (0 2 2); 53.33 deg, intensity 34, (3 3 1)

Crystal structure
```
data_K2CuF4
_symmetry_space_group_name_H-M 'C m c e'
_symmetry_Int_Tables_number 64
_symmetry_space_group_name_Hall '-C 2ac 2'
_cell_length_a 12.889
_cell_length_b 5.926
_cell_length_c 5.926
_cell_angle_alpha 90.00
_cell_angle_beta 90.00
_cell_angle_gamma 90.00
loop_
_atom_site_label
_atom_site_fract_x
_atom_site_fract_y
_atom_site_fract_z
K1 0.142 0.000 0.000
Cu1 0.000 0.000 0.500
F1 0.000 0.232 0.268
F2 0.154 0.000 0.500
```


Structure and calculated powder XRD pattern of K3Cu2F6 (a PBE-relaxed structure; Cu Kα (weighted mean of Kα1 and Kα2)).
No peak broadening, texture or thermal motion is included.

Principal peaks in the range 5° ≤ 2θ ≤ 70°, sorted by position:
8.09 deg, intensity 21, (0 0 2); 16.23 deg, intensity 24, (0 0 4); 30.22 deg, intensity 100, (1 0 5); 31.49 deg, intensity 49, (1 1 0); 45.13 deg, intensity 48, (2 0 0); 55.28 deg, intensity 33, (2 1 5)

Crystal structure
```
data_K3Cu2F6
_symmetry_space_group_name_H-M 'I 4/m m m'
_symmetry_Int_Tables_number 139
_symmetry_space_group_name_Hall '-I 4 2'
_cell_length_a 4.018
_cell_length_b 4.018
_cell_length_c 21.846
_cell_angle_alpha 90.00
_cell_angle_beta 90.00
_cell_angle_gamma 90.00
loop_
_atom_site_label
_atom_site_fract_x
_atom_site_fract_y
_atom_site_fract_z
K1 0.000 0.000 0.000
K2 0.000 0.000 0.186
Cu1 0.000 0.000 0.405
F1 0.000 0.000 0.306
F2 0.000 0.500 0.084
```


Structure and calculated powder XRD pattern of K4CuF6 (a PBE-relaxed structure; Cu Kα (weighted mean of Kα1 and Kα2)).
No peak broadening, texture or thermal motion is included.

Principal peaks in the range 5° ≤ 2θ ≤ 70°, sorted by position:
17.02 deg, intensity 100, (1 0 1); 27.27 deg, intensity 22, (2 1 0); 36.63 deg, intensity 93, (2 1 2); 38.94 deg, intensity 73, (3 1 0); 49.10 deg, intensity 20, (0 0 4); 64.38 deg, intensity 23, (3 1 4)

Crystal structure
```
data_K4CuF6
_symmetry_space_group_name_H-M 'P 4/m n c'
_symmetry_Int_Tables_number 128
_symmetry_space_group_name_Hall '-P 4 2n'
_cell_length_a 7.312
_cell_length_b 7.312
_cell_length_c 7.421
_cell_angle_alpha 90.00
_cell_angle_beta 90.00
_cell_angle_gamma 90.00
loop_
_atom_site_label
_atom_site_fract_x
_atom_site_fract_y
_atom_site_fract_z
K1 0.168 0.332 0.250
Cu1 0.000 0.000 0.000
F1 0.000 0.000 0.255
F2 0.095 0.712 0.000
```